Starting from a GGA-PBE-relaxed structure, the powder X-ray diffraction pattern of NaScP2H2O8 was calculated for λ = 1.5418 Å (Cu Kα).

Largest 8 diffraction maxima, by angle, 5° ≤ 2θ ≤ 70°:
15.7°, rel. 100, hkl 0 2 1; 22.9°, rel. 74, hkl 2 2 0; 23.5°, rel. 94, hkl 2 2 -2; 25.5°, rel. 82, hkl 0 2 2; 27.5°, rel. 43, hkl 2 4 -1; 29.7°, rel. 55, hkl 2 4 0; 30.1°, rel. 40, hkl 2 4 -2; 30.3°, rel. 45, hkl 2 2 1

Atomic structure:
```
data_NaScP2H2O8
_space_group_name_H-M_alt 'C 1 c 1'
_space_group_IT_number 9
_cell_length_a 10.491
_cell_length_b 16.491
_cell_length_c 9.184
_cell_angle_alpha 90.00
_cell_angle_beta 122.73
_cell_angle_gamma 90.00
loop_
_space_group_symop_operation_xyz
'x,y,z'
'x,-y,z+1/2'
'x+1/2,y+1/2,z'
'x+1/2,-y+1/2,z+1/2'
loop_
_atom_site_label
_atom_site_type_symbol
_atom_site_fract_x
_atom_site_fract_y
_atom_site_fract_z
Na1 Na 0.000 0.173 0.000
Na2 Na 0.439 0.188 0.921
Sc1 Sc 0.043 0.135 0.637
Sc2 Sc 0.069 0.388 0.171
P1 P 0.169 0.307 0.888
P2 P 0.235 0.225 0.460
P3 P 0.366 0.016 0.815
P4 P 0.385 0.499 0.787
H1 H 0.133 0.419 0.735
H2 H 0.185 0.017 0.055
H3 H 0.246 0.114 0.341
H4 H 0.259 0.436 0.539
O1 O 0.008 0.444 0.337
O2 O 0.088 0.363 0.718
O3 O 0.099 0.223 0.828
O4 O 0.133 0.214 0.530
O5 O 0.135 0.340 0.020
O6 O 0.182 0.164 0.301
O7 O 0.219 0.311 0.383
O8 O 0.228 0.486 0.260
O9 O 0.256 0.083 0.795
O10 O 0.281 0.042 0.149
O11 O 0.340 0.306 0.962
O12 O 0.361 0.434 0.644
O13 O 0.403 0.206 0.598
O14 O 0.406 0.043 0.465
O15 O 0.454 0.423 0.269
O16 O 0.499 0.460 0.963
```